The following is a calculated powder XRD pattern of Dy2Y2Hg. It was derived from the PBE geometry in Alexandria, using CuKα.

Atomic structure:
Cell lengths 12.9493, 12.9493, 12.9493 Å; angles 157.45, 157.45, 32.10 degrees
Fractional coordinates of all 10 atoms:
Dy 0.0486 0.2986 0.7500
Dy 0.2986 0.0486 0.2500
Dy 0.7014 0.9514 0.7500
Dy 0.9514 0.7014 0.2500
Y 0.1966 0.4466 0.7500
Y 0.4466 0.1966 0.2500
Y 0.5534 0.8034 0.7500
Y 0.8034 0.5534 0.2500
Hg 0.1250 0.8750 0.2500
Hg 0.8750 0.1250 0.7500

Principal peaks in the range 2θ = 10–90°, most intense first:
- 33.05 deg, I = 100
- 35.45 deg, I = 45
- 17.88 deg, I = 35
- 62.14 deg, I = 32
- 51.01 deg, I = 18
- 25.09 deg, I = 16
- 57.43 deg, I = 16
- 39.98 deg, I = 10
- 30.73 deg, I = 10
- 69.34 deg, I = 9